This entry pairs a crystal structure of K3RbAs2Pt2 with its calculated powder XRD pattern. Radiation: Cu Kα (λ = 1.5418 Å). Structure: a structure optimized by DFT (PBE).
Kinematic intensities with the Lorentz-polarization factor, no thermal factor.

Cell and atoms:
a = 6.3578 Å, b = 5.9034 Å, c = 6.4189 Å
α = 90.00°, β = 105.24°, γ = 90.00°
Sites, in units of the cell vectors:
K 0.0000 0.0000 0.0000
K 0.2989 0.5000 0.3031
K 0.6546 0.0000 0.3396
Rb 0.9496 0.5000 0.6440
As 0.2340 0.0000 0.5661
As 0.7257 0.5000 0.0738
Pt 0.4680 0.2466 0.8363
Pt 0.4680 0.7534 0.8363

Peak list (10 most intense, 2θ from 15° to 90°, sorted by position)
| 2theta | I/Imax | index |
| --- | --- | --- |
| 17.5 | 100.0 | 1 0 -1 |
| 28.7 | 41.6 | 1 0 -2 |
| 28.9 | 54.5 | 2 0 -1 |
| 32.5 | 26.9 | 1 1 -2 |
| 32.7 | 29.1 | 2 1 -1 |
| 33.7 | 88.9 | 1 2 0 |
| 38.3 | 57.5 | 1 2 1 |
| 42.3 | 49.3 | 0 2 2 |
| 42.5 | 25.8 | 2 2 0 |
| 54.2 | 33.0 | 3 0 -3 |